[1]
Co7Ru2O12: computed XRD peak list (copper Kα), based on the GGA+U geometry in the Materials Project.
Intensities are scaled so that the largest is 100.

The 12 most intense peaks (2θ = 10–90°), by angle:
18.38°, I = 44, (1 0 1); 30.41°, I = 59, (1 1 2); 35.38°, I = 55, (2 -1 1); 35.62°, I = 31, (1 -2 2); 35.96°, I = 67, (1 2 0); 36.65°, I = 100, (2 1 -3); 37.25°, I = 21, (0 2 2); 38.14°, I = 20, (2 0 -4); 42.90°, I = 20, (2 -2 0); 44.26°, I = 37, (2 2 -2); 58.13°, I = 27, (3 2 -1); 63.34°, I = 72, (4 0 -2)

Crystal structure
```
data_Co7Ru2O12
_chemical_formula_sum 'Co14 Ru4 O24'
_symmetry_space_group_name_H-M 'P 1'
_symmetry_Int_Tables_number 1
_cell_length_a 5.877
_cell_length_b 5.878
_cell_length_c 12.820
_cell_angle_alpha 101.55
_cell_angle_beta 101.55
_cell_angle_gamma 91.68
loop_
_symmetry_equiv_pos_as_xyz
'x,y,z'
loop_
_atom_site_label
_atom_site_fract_x
_atom_site_fract_y
_atom_site_fract_z
Co1 0.000 0.000 0.000
Co2 0.000 0.500 0.000
Co3 0.128 0.870 0.250
Co4 0.220 0.463 0.423
Co5 0.322 0.335 0.164
Co6 0.335 0.323 0.664
Co7 0.464 0.223 0.923
Co8 0.498 0.998 0.501
Co9 0.536 0.778 0.077
Co10 0.663 0.675 0.336
Co11 0.677 0.665 0.836
Co12 0.777 0.534 0.577
Co13 0.869 0.131 0.750
Co14 0.998 0.998 0.500
Ru1 0.173 0.673 0.826
Ru2 0.326 0.827 0.675
Ru3 0.671 0.172 0.326
Ru4 0.825 0.327 0.174
O1 0.082 0.094 0.158
O2 0.083 0.555 0.160
O3 0.094 0.083 0.659
O4 0.096 0.551 0.661
O5 0.218 0.751 0.992
O6 0.223 0.259 0.006
O7 0.247 0.781 0.509
O8 0.257 0.222 0.506
O9 0.422 0.431 0.823
O10 0.429 0.420 0.323
O11 0.443 0.914 0.341
O12 0.449 0.904 0.839
O13 0.550 0.097 0.161
O14 0.554 0.084 0.660
O15 0.569 0.578 0.677
O16 0.577 0.569 0.177
O17 0.740 0.775 0.494
O18 0.749 0.216 0.492
O19 0.777 0.741 0.994
O20 0.782 0.250 0.008
O21 0.900 0.448 0.339
O22 0.903 0.915 0.342
O23 0.916 0.446 0.840
O24 0.918 0.906 0.842
```

[2]
BaMnPClO4F: computed XRD peak list (copper Kα), based on the GGA+U geometry in the Materials Project.
Intensities are scaled so that the largest is 100.

The 12 most intense peaks (2θ = 10–90°), by angle:
23.02°, I = 78, (0 1 2); 24.06°, I = 35, (1 2 0); 25.43°, I = 17, (2 0 0); 27.44°, I = 18, (2 1 0); 29.17°, I = 100, (1 2 -2); 29.42°, I = 33, (2 1 -2); 32.01°, I = 15, (2 1 1); 32.81°, I = 30, (2 2 0); 37.34°, I = 44, (0 3 2); 39.80°, I = 20, (1 0 -4); 41.79°, I = 16, (2 3 -2); 58.83°, I = 15, (1 4 -4)

Crystal structure
```
data_BaMnPClO4F
_chemical_formula_sum 'Ba4 Mn4 P4 Cl4 O16 F4'
_symmetry_space_group_name_H-M 'P 1 21/c 1'
_symmetry_Int_Tables_number 14
_cell_length_a 7.346
_cell_length_b 8.710
_cell_length_c 9.060
_cell_angle_alpha 90.00
_cell_angle_beta 107.51
_cell_angle_gamma 90.00
loop_
_symmetry_equiv_pos_as_xyz
'x,y,z'
'-x,-y,-z'
'-x,y+1/2,-z+1/2'
'x,-y+1/2,z+1/2'
loop_
_atom_site_label
_atom_site_fract_x
_atom_site_fract_y
_atom_site_fract_z
Ba1 0.042 0.232 0.385
Mn1 0.389 0.001 0.726
P1 0.447 0.749 0.988
Cl1 0.232 0.034 0.172
O1 0.313 0.655 0.356
O2 0.316 0.654 0.059
O3 0.411 0.152 0.888
O4 0.417 0.146 0.571
F1 0.092 0.070 0.656
```

[3]
KNdMn4O12: computed XRD peak list (copper Kα), based on the GGA+U geometry in the Materials Project.
Intensities are scaled so that the largest is 100.

The 12 most intense peaks (2θ = 10–90°), by angle:
11.56°, I = 27, (1 0 0); 16.45°, I = 28, (0 1 1); 20.15°, I = 100, (1 1 1); 33.09°, I = 47, (2 0 2); 33.26°, I = 96, (2 2 0); 39.05°, I = 35, (3 1 1); 39.34°, I = 18, (1 3 1); 47.49°, I = 47, (4 0 0); 47.99°, I = 23, (0 4 0); 59.21°, I = 38, (2 2 4); 59.53°, I = 18, (2 4 2); 69.82°, I = 24, (4 4 0)

Crystal structure
```
data_KNdMn4O12
_chemical_formula_sum 'K2 Nd2 Mn8 O24'
_symmetry_space_group_name_H-M 'A m m 2'
_symmetry_Int_Tables_number 38
_cell_length_a 7.656
_cell_length_b 7.583
_cell_length_c 7.660
_cell_angle_alpha 90.00
_cell_angle_beta 90.00
_cell_angle_gamma 90.00
loop_
_symmetry_equiv_pos_as_xyz
'x,y,z'
'-x,-y,z'
'-x,y,z'
'x,-y,z'
'x,y+1/2,z+1/2'
'-x,-y+1/2,z+1/2'
'-x,y+1/2,z+1/2'
'x,-y+1/2,z+1/2'
loop_
_atom_site_label
_atom_site_fract_x
_atom_site_fract_y
_atom_site_fract_z
K1 0.000 0.000 0.000
Nd1 0.500 0.000 0.486
Mn1 0.243 0.249 0.744
O1 0.000 0.229 0.740
O2 0.243 0.000 0.276
O3 0.269 0.242 0.994
O4 0.278 0.000 0.718
O5 0.500 0.229 0.247
```

[4]
FeNiP2O8: computed XRD peak list (copper Kα), based on the GGA+U geometry in the Materials Project.
Intensities are scaled so that the largest is 100.

The 12 most intense peaks (2θ = 10–90°), by angle:
20.54°, I = 98, (1 1 0); 24.29°, I = 100, (2 -1 3); 25.29°, I = 18, (2 0 2); 31.91°, I = 15, (3 -1 1); 33.23°, I = 76, (2 -1 6); 35.97°, I = 45, (3 0 0); 42.47°, I = 12, (2 0 8); 47.62°, I = 36, (3 -2 8); 49.77°, I = 30, (2 2 6); 56.28°, I = 27, (1 4 0); 56.84°, I = 18, (3 1 8); 62.92°, I = 23, (5 -1 6)

Crystal structure
```
data_FeNiP2O8
_chemical_formula_sum 'Fe9 Ni9 P18 O72'
_symmetry_space_group_name_H-M 'R 3'
_symmetry_Int_Tables_number 146
_symmetry_space_group_name_Hall 'R 3'
_cell_length_a 8.6492
_cell_length_b 8.6492
_cell_length_c 20.6930
_cell_angle_alpha 90.00
_cell_angle_beta 90.00
_cell_angle_gamma 120.00
loop_
_atom_site_label
_atom_site_fract_x
_atom_site_fract_y
_atom_site_fract_z
Fe1 0.0000 0.0000 0.0000
Fe2 0.0000 0.0000 0.2120
Fe3 0.0000 0.0000 0.7117
Ni1 0.0000 0.0000 0.3560
Ni2 0.0000 0.0000 0.4973
Ni3 0.0000 0.0000 0.8556
P1 0.0003 0.2957 0.6050
P2 0.0010 0.7036 0.1059
O1 0.0071 0.1999 0.6663
O2 0.0104 0.8075 0.1671
O3 0.0142 0.1808 0.2811
O4 0.0140 0.8337 0.7816
O5 0.1325 0.4648 0.2096
O6 0.1410 0.6767 0.7113
O7 0.1670 0.4878 0.5972
O8 0.1676 0.6823 0.0956
```

[5]
NaMn3V4O12: computed XRD peak list (copper Kα), based on the GGA+U geometry in the Materials Project.
Intensities are scaled so that the largest is 100.

The 12 most intense peaks (2θ = 10–90°), by angle:
16.72°, I = 8, (1 0 0); 29.17°, I = 5, (1 0 1); 33.81°, I = 100, (0 0 2); 37.94°, I = 8, (1 -1 2); 45.22°, I = 4, (0 2 1); 48.56°, I = 36, (2 2 -2); 60.44°, I = 36, (2 0 2); 60.60°, I = 12, (4 0 -2); 71.03°, I = 7, (0 4 0); 71.21°, I = 8, (4 0 0); 81.05°, I = 8, (2 4 -4); 81.18°, I = 7, (4 -4 2)

Crystal structure
```
data_NaMn3V4O12
_chemical_formula_sum 'Na1 Mn3 V4 O12'
_symmetry_space_group_name_H-M 'P 1'
_symmetry_Int_Tables_number 1
_cell_length_a 6.480
_cell_length_b 6.498
_cell_length_c 6.499
_cell_angle_alpha 109.53
_cell_angle_beta 109.41
_cell_angle_gamma 109.40
loop_
_symmetry_equiv_pos_as_xyz
'x,y,z'
loop_
_atom_site_label
_atom_site_fract_x
_atom_site_fract_y
_atom_site_fract_z
Na1 0.000 0.000 0.000
Mn1 0.000 0.500 0.500
Mn2 0.500 0.499 0.998
Mn3 0.501 0.001 0.500
V1 0.000 0.000 0.500
V2 0.000 0.500 0.000
V3 0.500 0.000 0.000
V4 0.500 0.500 0.500
O1 0.100 0.308 0.810
O2 0.199 0.894 0.705
O3 0.208 0.498 0.308
O4 0.290 0.190 0.498
O5 0.306 0.812 0.106
O6 0.494 0.295 0.188
O7 0.506 0.705 0.812
O8 0.694 0.189 0.894
O9 0.711 0.810 0.502
O10 0.792 0.502 0.692
O11 0.801 0.107 0.295
O12 0.900 0.692 0.189
```

[6]
Li9Mn2Co5O16: computed XRD peak list (copper Kα), based on the GGA+U geometry in the Materials Project.
Intensities are scaled so that the largest is 100.

The 12 most intense peaks (2θ = 10–90°), by angle:
18.48°, I = 100, (1 0 0); 34.78°, I = 17, (-1 2 1); 36.86°, I = 23, (0 2 -3); 37.44°, I = 8, (2 0 0); 38.02°, I = 7, (1 0 -4); 41.83°, I = 32, (-2 2 1); 44.83°, I = 51, (1 2 -3); 47.75°, I = 9, (2 0 -4); 58.99°, I = 10, (2 0 4); 62.95°, I = 23, (1 -4 2); 63.04°, I = 8, (3 -2 3); 66.03°, I = 7, (0 2 -7)

Crystal structure
```
data_Li9Mn2Co5O16
_chemical_formula_sum 'Li9 Mn2 Co5 O16'
_symmetry_space_group_name_H-M 'P -1'
_symmetry_Int_Tables_number 2
_cell_length_a 5.193
_cell_length_b 5.921
_cell_length_c 10.240
_cell_angle_alpha 103.85
_cell_angle_beta 95.59
_cell_angle_gamma 109.56
loop_
_symmetry_equiv_pos_as_xyz
'x,y,z'
'-x,-y,-z'
loop_
_atom_site_label
_atom_site_fract_x
_atom_site_fract_y
_atom_site_fract_z
Li1 0.000 0.000 0.000
Li2 0.494 0.431 0.117
Li3 0.496 0.072 0.882
Li4 0.498 0.310 0.375
Li5 0.500 0.182 0.625
Mn1 0.003 0.368 0.247
Co1 0.000 0.500 0.000
Co2 0.001 0.127 0.753
Co3 0.003 0.748 0.500
O1 0.207 0.406 0.686
O2 0.215 0.164 0.198
O3 0.224 0.009 0.433
O4 0.227 0.270 0.924
O5 0.230 0.511 0.433
O6 0.231 0.758 0.930
O7 0.234 0.885 0.681
O8 0.235 0.631 0.182
```

[7]
Rb3FeO3: computed XRD peak list (copper Kα), based on the GGA+U geometry in the Materials Project.
Intensities are scaled so that the largest is 100.

The 12 most intense peaks (2θ = 10–90°), by angle:
27.50°, I = 32, (1 1 -2); 27.68°, I = 22, (1 3 -1); 28.73°, I = 49, (2 2 0); 30.34°, I = 100, (0 4 0); 30.54°, I = 56, (0 2 2); 35.22°, I = 35, (2 2 -2); 36.97°, I = 29, (3 1 -1); 39.30°, I = 24, (1 3 2); 39.65°, I = 20, (2 4 -1); 40.32°, I = 21, (2 0 2); 52.36°, I = 24, (4 2 0); 56.77°, I = 22, (0 2 4)

Crystal structure
```
data_Rb3FeO3
_chemical_formula_sum 'Rb12 Fe4 O12'
_symmetry_space_group_name_H-M 'C 1 2/m 1'
_symmetry_Int_Tables_number 12
_cell_length_a 7.523
_cell_length_b 11.765
_cell_length_c 6.936
_cell_angle_alpha 90.00
_cell_angle_beta 103.35
_cell_angle_gamma 90.00
loop_
_symmetry_equiv_pos_as_xyz
'x,y,z'
'-x,-y,-z'
'-x,y,-z'
'x,-y,z'
'x+1/2,y+1/2,z'
'-x+1/2,-y+1/2,-z'
'-x+1/2,y+1/2,-z'
'x+1/2,-y+1/2,z'
loop_
_atom_site_label
_atom_site_fract_x
_atom_site_fract_y
_atom_site_fract_z
Rb1 0.000 0.193 0.000
Rb2 0.000 0.261 0.500
Rb3 0.127 0.500 0.846
Fe1 0.163 0.000 0.646
O1 0.099 0.000 0.352
O2 0.215 0.368 0.236
```

[8]
Ba5Sm8Mn4O21: computed XRD peak list (copper Kα), based on the GGA+U geometry in the Materials Project.
Intensities are scaled so that the largest is 100.

The 12 most intense peaks (2θ = 10–90°), by angle:
27.16°, I = 45, (3 2 1); 27.98°, I = 14, (4 2 0); 29.96°, I = 100, (1 4 1); 30.34°, I = 39, (0 0 2); 34.95°, I = 29, (3 4 1); 36.75°, I = 15, (5 3 0); 40.73°, I = 11, (3 3 2); 41.74°, I = 18, (4 2 2); 44.68°, I = 18, (5 1 2); 48.37°, I = 12, (5 3 2); 53.67°, I = 20, (1 4 3); 55.20°, I = 13, (1 7 2)

Crystal structure
```
data_Ba5Sm8Mn4O21
_chemical_formula_sum 'Ba10 Sm16 Mn8 O42'
_symmetry_space_group_name_H-M 'I 4/m'
_symmetry_Int_Tables_number 87
_symmetry_space_group_name_Hall '-I 4'
_cell_length_a 14.261
_cell_length_b 14.261
_cell_length_c 5.891
_cell_angle_alpha 90.00
_cell_angle_beta 90.00
_cell_angle_gamma 90.00
loop_
_atom_site_label
_atom_site_fract_x
_atom_site_fract_y
_atom_site_fract_z
Ba1 0.000 0.000 0.000
Ba2 0.032 0.637 0.500
Sm1 0.089 0.142 0.500
Sm2 0.169 0.753 0.000
Mn1 0.040 0.251 0.000
O1 0.000 0.000 0.500
O2 0.034 0.624 0.000
O3 0.047 0.822 0.249
O4 0.148 0.258 0.248
```